Record 1
Calculated powder diffraction line list of Hg3Te for Cu Kα (weighted mean of Kα1 and Kα2), from a cell relaxed with GGA-PBE.
Neutral-atom scattering factors, no anomalous dispersion.

Peak list (12 most intense, 15° ≤ 2θ ≤ 90°, in order of rising 2θ)
2θ 29.7, rel. 100.0
2θ 30.5, rel. 44.9
2θ 36.4, rel. 66.2
2θ 39.6, rel. 22.5
2θ 44.5, rel. 22.1
2θ 45.3, rel. 16.2
2θ 49.0, rel. 18.8
2θ 50.8, rel. 20.1
2θ 61.1, rel. 15.9
2θ 61.7, rel. 13.1
2θ 67.0, rel. 20.3
2θ 68.9, rel. 12.8

Crystal structure
abc: 6.261 6.261 6.261
angles: 150.83 86.85 100.47
Fractional positions:
Hg1 0.000 0.000 0.000
Hg2 0.519 0.254 0.265
Hg3 0.989 0.254 0.735
Te1 0.471 0.971 0.500

=====

Record 2
Calculated powder diffraction line list of Pr2Zn7Au for Cu Kα (weighted mean of Kα1 and Kα2), from a cell relaxed with GGA-PBE.
Neutral-atom scattering factors, no anomalous dispersion.

Peak list (12 most intense, 15° ≤ 2θ ≤ 90°, in order of rising 2θ)
2θ 22.3, rel. 10.9
2θ 32.7, rel. 44.2
2θ 33.9, rel. 100.0
2θ 41.9, rel. 50.4
2θ 45.3, rel. 13.8
2θ 47.7, rel. 20.8
2θ 54.2, rel. 20.8
2θ 60.5, rel. 12.4
2θ 60.8, rel. 16.3
2θ 65.4, rel. 15.8
2θ 71.5, rel. 22.3
2θ 86.0, rel. 10.8

Crystal structure
abc: 4.308 4.308 10.626
angles: 90.00 90.00 90.00
Fractional positions:
Pr1 0.000 0.500 0.244
Pr2 0.500 0.000 0.756
Zn1 0.000 0.000 0.000
Zn2 0.000 0.500 0.641
Zn3 0.000 0.500 0.872
Zn4 0.500 0.000 0.128
Zn5 0.500 0.000 0.359
Zn6 0.500 0.500 0.000
Zn7 0.500 0.500 0.500
Au1 0.000 0.000 0.500

=====

Record 3
Calculated powder diffraction line list of Sc6BiTe3Pb2 for Cu Kα (weighted mean of Kα1 and Kα2), from a cell relaxed with GGA-PBE.
Neutral-atom scattering factors, no anomalous dispersion.

Peak list (12 most intense, 15° ≤ 2θ ≤ 90°, in order of rising 2θ)
2θ 25.9, rel. 61.3
2θ 30.0, rel. 100.0
2θ 43.0, rel. 74.6
2θ 50.9, rel. 24.0
2θ 50.9, rel. 8.0
2θ 53.3, rel. 26.2
2θ 62.4, rel. 8.1
2θ 68.8, rel. 9.0
2θ 70.7, rel. 11.1
2θ 70.8, rel. 22.2
2θ 78.8, rel. 10.4
2θ 78.8, rel. 10.4

Crystal structure
abc: 9.403 9.403 8.428
angles: 102.99 102.99 25.85
Fractional positions:
Sc1 0.003 0.003 0.251
Sc2 0.332 0.332 0.421
Sc3 0.333 0.333 0.910
Sc4 0.667 0.667 0.090
Sc5 0.668 0.668 0.579
Sc6 0.997 0.997 0.749
Bi1 0.500 0.500 0.000
Te1 0.165 0.165 0.834
Te2 0.500 0.500 0.500
Te3 0.835 0.835 0.166
Pb1 0.167 0.167 0.334
Pb2 0.833 0.833 0.666

=====

Record 4
Calculated powder diffraction line list of LaTm3Pb for Cu Kα (weighted mean of Kα1 and Kα2), from a cell relaxed with GGA-PBE.
Neutral-atom scattering factors, no anomalous dispersion.

Peak list (12 most intense, 15° ≤ 2θ ≤ 90°, in order of rising 2θ)
2θ 29.0, rel. 16.0
2θ 29.2, rel. 42.1
2θ 30.2, rel. 84.1
2θ 31.2, rel. 31.8
2θ 31.3, rel. 51.1
2θ 32.1, rel. 67.9
2θ 32.8, rel. 100.0
2θ 35.5, rel. 56.0
2θ 36.1, rel. 16.8
2θ 36.3, rel. 38.5
2θ 57.3, rel. 17.7
2θ 59.8, rel. 19.5

Crystal structure
abc: 7.912 9.264 10.306
angles: 90.00 125.21 90.00
Fractional positions:
La1 0.216 0.081 0.328
La2 0.216 0.419 0.828
La3 0.784 0.581 0.172
La4 0.784 0.919 0.672
Tm1 0.099 0.676 0.011
Tm2 0.099 0.824 0.511
Tm3 0.202 0.079 0.975
Tm4 0.202 0.421 0.475
Tm5 0.409 0.116 0.741
Tm6 0.409 0.384 0.241
Tm7 0.591 0.616 0.759
Tm8 0.591 0.884 0.259
Tm9 0.798 0.579 0.525
Tm10 0.798 0.921 0.025
Tm11 0.901 0.176 0.489
Tm12 0.901 0.324 0.989
Pb1 0.350 0.709 0.382
Pb2 0.350 0.791 0.882
Pb3 0.650 0.209 0.118
Pb4 0.650 0.291 0.618